(1)
For BaPrSe2, a structure optimized by DFT (GGA-PBE) gives the calculated X-ray powder pattern in this record (Cu Kα, 1.54184 Å).
Intensities are scaled so that the largest is 100.

Cell and atoms:
```
data_BaPrSe2
_chemical_formula_sum 'Ba2 Pr2 Se4'
_cell_length_a 4.3815
_cell_length_b 4.3815
_cell_length_c 15.1517
_cell_angle_alpha 90.00
_cell_angle_beta 90.00
_cell_angle_gamma 120.00
_space_group_name_H-M_alt 'P 63/m m c'
_space_group_IT_number 194
_space_group_name_Hall '-P 6c 2c'
loop_
_atom_site_label
_atom_site_type_symbol
_atom_site_fract_x
_atom_site_fract_y
_atom_site_fract_z
Ba1 Ba 0.3333 0.6667 0.2500
Pr1 Pr 0.0000 0.0000 0.0000
Se1 Se 0.3333 0.6667 0.6118
```

Peak list (6 most intense, 10 to 80 degrees two-theta, low angle first)
| 2θ/deg | Rel. int. | index |
| --- | --- | --- |
| 26.3 | 93 | 1 0 2 |
| 29.4 | 100 | 1 0 3 |
| 33.4 | 30 | 1 0 4 |
| 41.2 | 69 | 1 1 0 |
| 43.0 | 40 | 1 0 6 |
| 65.1 | 30 | 1 1 8 |

***

(2)
For Ba3Pr2TmSe6, a structure optimized by DFT (GGA-PBE) gives the calculated X-ray powder pattern in this record (Cu Kα, 1.54184 Å).
Intensities are scaled so that the largest is 100.

Cell and atoms:
```
data_Ba3Pr2TmSe6
_chemical_formula_sum 'Ba6 Pr4 Tm2 Se12'
_cell_length_a 7.576
_cell_length_b 13.103
_cell_length_c 7.821
_cell_angle_alpha 90.00
_cell_angle_beta 108.87
_cell_angle_gamma 90.00
_space_group_name_H-M_alt 'C 1 2/m 1'
_space_group_IT_number 12
loop_
_space_group_symop_operation_xyz
'x,y,z'
'-x,-y,-z'
'-x,y,-z'
'x,-y,z'
'x+1/2,y+1/2,z'
'-x+1/2,-y+1/2,-z'
'-x+1/2,y+1/2,-z'
'x+1/2,-y+1/2,z'
loop_
_atom_site_label
_atom_site_type_symbol
_atom_site_fract_x
_atom_site_fract_y
_atom_site_fract_z
Ba1 Ba 0.000 0.000 0.000
Ba2 Ba 0.000 0.329 0.000
Pr1 Pr 0.000 0.166 0.500
Tm1 Tm 0.000 0.500 0.500
Se1 Se 0.232 0.340 0.717
Se2 Se 0.246 0.500 0.279
```

Peak list (6 most intense, 10 to 80 degrees two-theta, low angle first)
| 2θ/deg | Rel. int. | index |
| --- | --- | --- |
| 28.5 | 100 | 2 0 -2 |
| 40.3 | 36 | 1 3 -3 |
| 41.3 | 37 | 3 3 -1 |
| 51.0 | 19 | 4 0 0 |
| 59.1 | 12 | 4 0 -4 |
| 66.2 | 15 | 3 3 -5 |

***

(3)
For Ba3PrTe4, a structure optimized by DFT (GGA-PBE) gives the calculated X-ray powder pattern in this record (Cu Kα, 1.54184 Å).
Intensities are scaled so that the largest is 100.

Cell and atoms:
```
data_Ba3PrTe4
_chemical_formula_sum 'Ba6 Pr2 Te8'
_cell_length_a 9.788
_cell_length_b 13.761
_cell_length_c 4.839
_cell_angle_alpha 90.00
_cell_angle_beta 90.00
_cell_angle_gamma 90.00
_space_group_name_H-M_alt 'C m m m'
_space_group_IT_number 65
_space_group_name_Hall '-C 2 2'
loop_
_atom_site_label
_atom_site_type_symbol
_atom_site_fract_x
_atom_site_fract_y
_atom_site_fract_z
Ba1 Ba 0.000 0.000 0.000
Ba2 Ba 0.250 0.250 0.500
Pr1 Pr 0.000 0.500 0.000
Te1 Te 0.000 0.261 0.000
Te2 Te 0.231 0.500 0.500
```

Peak list (6 most intense, 10 to 80 degrees two-theta, low angle first)
| 2θ/deg | Rel. int. | index |
| --- | --- | --- |
| 25.9 | 100 | 2 0 1 |
| 36.9 | 51 | 2 4 1 |
| 37.2 | 13 | 0 0 2 |
| 45.5 | 14 | 4 4 0 |
| 45.9 | 14 | 0 4 2 |
| 60.1 | 23 | 4 4 2 |

***

(4)
For Ba2PrTl2, a structure optimized by DFT (GGA-PBE) gives the calculated X-ray powder pattern in this record (Cu Kα, 1.54184 Å).
Intensities are scaled so that the largest is 100.

Cell and atoms:
```
data_Ba2PrTl2
_chemical_formula_sum 'Ba8 Pr4 Tl8'
_cell_length_a 9.951
_cell_length_b 13.401
_cell_length_c 6.579
_cell_angle_alpha 90.00
_cell_angle_beta 90.00
_cell_angle_gamma 90.00
_space_group_name_H-M_alt 'I b a m'
_space_group_IT_number 72
_space_group_name_Hall '-I 2 2c'
loop_
_atom_site_label
_atom_site_type_symbol
_atom_site_fract_x
_atom_site_fract_y
_atom_site_fract_z
Ba1 Ba 0.133 0.172 0.000
Pr1 Pr 0.000 0.500 0.250
Tl1 Tl 0.228 0.079 0.500
```

Peak list (6 most intense, 10 to 80 degrees two-theta, low angle first)
| 2θ/deg | Rel. int. | index |
| --- | --- | --- |
| 21.8 | 42 | 1 3 0 |
| 27.1 | 33 | 0 0 2 |
| 27.7 | 34 | 3 1 0 |
| 31.3 | 100 | 1 4 1 |
| 32.6 | 47 | 2 0 2 |
| 33.1 | 57 | 3 2 1 |

***

(5)
For BaPr2Tl9, a structure optimized by DFT (GGA-PBE) gives the calculated X-ray powder pattern in this record (Cu Kα, 1.54184 Å).
Intensities are scaled so that the largest is 100.

Cell and atoms:
```
data_BaPr2Tl9
_chemical_formula_sum 'Ba1 Pr2 Tl9'
_cell_length_a 4.946
_cell_length_b 4.946
_cell_length_c 14.833
_cell_angle_alpha 90.00
_cell_angle_beta 90.00
_cell_angle_gamma 90.00
_space_group_name_H-M_alt 'P 4/m m m'
_space_group_IT_number 123
_space_group_name_Hall '-P 4 2'
loop_
_atom_site_label
_atom_site_type_symbol
_atom_site_fract_x
_atom_site_fract_y
_atom_site_fract_z
Ba1 Ba 0.000 0.000 0.000
Pr1 Pr 0.000 0.000 0.343
Tl1 Tl 0.000 0.500 0.177
Tl2 Tl 0.000 0.500 0.500
Tl3 Tl 0.500 0.500 0.000
Tl4 Tl 0.500 0.500 0.335
```

Peak list (6 most intense, 10 to 80 degrees two-theta, low angle first)
| 2θ/deg | Rel. int. | index |
| --- | --- | --- |
| 31.3 | 100 | 1 1 3 |
| 36.3 | 50 | 2 0 0 |
| 52.3 | 35 | 2 2 0 |
| 62.3 | 41 | 3 1 3 |
| 65.4 | 12 | 2 2 6 |
| 77.1 | 5 | 4 0 0 |

***

(6)
For BaPr4Tl5, a structure optimized by DFT (GGA-PBE) gives the calculated X-ray powder pattern in this record (Cu Kα, 1.54184 Å).
Intensities are scaled so that the largest is 100.

Cell and atoms:
```
data_BaPr4Tl5
_chemical_formula_sum 'Ba1 Pr4 Tl5'
_cell_length_a 3.986
_cell_length_b 3.986
_cell_length_c 20.183
_cell_angle_alpha 90.00
_cell_angle_beta 90.00
_cell_angle_gamma 90.00
_space_group_name_H-M_alt 'P 4/m m m'
_space_group_IT_number 123
_space_group_name_Hall '-P 4 2'
loop_
_atom_site_label
_atom_site_type_symbol
_atom_site_fract_x
_atom_site_fract_y
_atom_site_fract_z
Ba1 Ba 0.000 0.000 0.000
Pr1 Pr 0.000 0.000 0.211
Pr2 Pr 0.000 0.000 0.404
Tl1 Tl 0.500 0.500 0.120
Tl2 Tl 0.500 0.500 0.309
Tl3 Tl 0.500 0.500 0.500
```

Peak list (6 most intense, 10 to 80 degrees two-theta, low angle first)
| 2θ/deg | Rel. int. | index |
| --- | --- | --- |
| 31.5 | 100 | 1 0 5 |
| 31.7 | 56 | 1 1 0 |
| 45.5 | 21 | 2 0 0 |
| 56.0 | 13 | 1 1 10 |
| 56.4 | 39 | 2 1 5 |
| 75.4 | 10 | 3 1 0 |

***

(7)
For Ba2Pt, a structure optimized by DFT (GGA-PBE) gives the calculated X-ray powder pattern in this record (Cu Kα, 1.54184 Å).
Intensities are scaled so that the largest is 100.

Cell and atoms:
```
data_Ba2Pt
_chemical_formula_sum 'Ba8 Pt4'
_cell_length_a 3.942
_cell_length_b 3.942
_cell_length_c 31.602
_cell_angle_alpha 90.00
_cell_angle_beta 90.00
_cell_angle_gamma 90.00
_space_group_name_H-M_alt 'I 41/a m d'
_space_group_IT_number 141
loop_
_space_group_symop_operation_xyz
'x,y,z'
'-x,-y,-z'
'-y+1/4,x+3/4,z+1/4'
'y+1/4,-x+3/4,-z+1/4'
'-x+1/2,-y,z+1/2'
'x+1/2,y,-z+1/2'
'y+1/4,-x+1/4,z+3/4'
'-y+1/4,x+1/4,-z+3/4'
'x,-y,-z'
'-x,y,z'
'-y+1/4,-x+1/4,-z+3/4'
'y+1/4,x+1/4,z+3/4'
'-x+1/2,y,-z+1/2'
'x+1/2,-y,z+1/2'
'y+1/4,x+3/4,-z+1/4'
'-y+1/4,-x+3/4,z+1/4'
'x+1/2,y+1/2,z+1/2'
'-x+1/2,-y+1/2,-z+1/2'
'-y+3/4,x+1/4,z+3/4'
'y+3/4,-x+1/4,-z+3/4'
'-x,-y+1/2,z'
'x,y+1/2,-z'
'y+3/4,-x+3/4,z+1/4'
'-y+3/4,x+3/4,-z+1/4'
'x+1/2,-y+1/2,-z+1/2'
'-x+1/2,y+1/2,z+1/2'
'-y+3/4,-x+3/4,-z+1/4'
'y+3/4,x+3/4,z+1/4'
'-x,y+1/2,-z'
'x,-y+1/2,z'
'y+3/4,x+1/4,-z+3/4'
'-y+3/4,-x+1/4,z+3/4'
loop_
_atom_site_label
_atom_site_type_symbol
_atom_site_fract_x
_atom_site_fract_y
_atom_site_fract_z
Ba1 Ba 0.000 0.250 0.317
Pt1 Pt 0.000 0.250 0.875
```

Peak list (6 most intense, 10 to 80 degrees two-theta, low angle first)
| 2θ/deg | Rel. int. | index |
| --- | --- | --- |
| 11.2 | 100 | 0 0 4 |
| 26.7 | 36 | 1 0 5 |
| 30.1 | 68 | 1 0 7 |
| 32.6 | 100 | 1 1 2 |
| 34.2 | 60 | 1 0 9 |
| 38.8 | 28 | 1 0 11 |

***

(8)
For Ba5Pt3, a structure optimized by DFT (GGA-PBE) gives the calculated X-ray powder pattern in this record (Cu Kα, 1.54184 Å).
Intensities are scaled so that the largest is 100.

Cell and atoms:
```
data_Ba5Pt3
_chemical_formula_sum 'Ba10 Pt6'
_cell_length_a 7.596
_cell_length_b 8.695
_cell_length_c 9.813
_cell_angle_alpha 84.90
_cell_angle_beta 67.32
_cell_angle_gamma 76.62
_space_group_name_H-M_alt 'P -1'
_space_group_IT_number 2
loop_
_space_group_symop_operation_xyz
'x,y,z'
'-x,-y,-z'
loop_
_atom_site_label
_atom_site_type_symbol
_atom_site_fract_x
_atom_site_fract_y
_atom_site_fract_z
Ba1 Ba 0.004 0.203 0.111
Ba2 Ba 0.153 0.379 0.718
Ba3 Ba 0.259 0.970 0.500
Ba4 Ba 0.371 0.380 0.283
Ba5 Ba 0.387 0.797 0.110
Pt1 Pt 0.049 0.700 0.501
Pt2 Pt 0.251 0.500 0.999
Pt3 Pt 0.348 0.000 0.805
```

Peak list (6 most intense, 10 to 80 degrees two-theta, low angle first)
| 2θ/deg | Rel. int. | index |
| --- | --- | --- |
| 27.1 | 65 | 1 -2 0 |
| 29.9 | 100 | 2 2 2 |
| 30.5 | 63 | 1 -1 3 |
| 31.1 | 51 | 2 1 -1 |
| 34.7 | 47 | 1 3 -1 |
| 34.8 | 70 | -2 1 1 |

***

(9)
For BaPt7, a structure optimized by DFT (GGA-PBE) gives the calculated X-ray powder pattern in this record (Cu Kα, 1.54184 Å).
Intensities are scaled so that the largest is 100.

Cell and atoms:
```
data_BaPt7
_chemical_formula_sum 'Ba4 Pt28'
_cell_length_a 8.286
_cell_length_b 8.286
_cell_length_c 8.286
_cell_angle_alpha 90.00
_cell_angle_beta 90.00
_cell_angle_gamma 90.00
_space_group_name_H-M_alt 'F m -3 m'
_space_group_IT_number 225
_space_group_name_Hall '-F 4 2 3'
loop_
_atom_site_label
_atom_site_type_symbol
_atom_site_fract_x
_atom_site_fract_y
_atom_site_fract_z
Ba1 Ba 0.000 0.000 0.000
Pt1 Pt 0.000 0.000 0.500
Pt2 Pt 0.000 0.250 0.250
```

Peak list (6 most intense, 10 to 80 degrees two-theta, low angle first)
| 2θ/deg | Rel. int. | index |
| --- | --- | --- |
| 18.5 | 1 | 1 1 1 |
| 35.9 | 1 | 3 1 1 |
| 37.6 | 100 | 2 2 2 |
| 43.7 | 49 | 4 0 0 |
| 63.5 | 33 | 4 4 0 |
| 76.2 | 39 | 6 2 2 |

***

(10)
For BaPt3, a structure optimized by DFT (GGA-PBE) gives the calculated X-ray powder pattern in this record (Cu Kα, 1.54184 Å).
Intensities are scaled so that the largest is 100.

Cell and atoms:
```
data_BaPt3
_chemical_formula_sum 'Ba8 Pt24'
_cell_length_a 5.176
_cell_length_b 9.084
_cell_length_c 19.736
_cell_angle_alpha 90.00
_cell_angle_beta 90.00
_cell_angle_gamma 90.00
_space_group_name_H-M_alt 'F m m m'
_space_group_IT_number 69
_space_group_name_Hall '-F 2 2'
loop_
_atom_site_label
_atom_site_type_symbol
_atom_site_fract_x
_atom_site_fract_y
_atom_site_fract_z
Ba1 Ba 0.000 0.000 0.105
Pt1 Pt 0.000 0.000 0.263
Pt2 Pt 0.250 0.250 0.000
Pt3 Pt 0.250 0.250 0.250
```

Peak list (6 most intense, 10 to 80 degrees two-theta, low angle first)
| 2θ/deg | Rel. int. | index |
| --- | --- | --- |
| 18.0 | 100 | 0 0 4 |
| 26.7 | 40 | 0 2 4 |
| 39.7 | 34 | 0 4 0 |
| 40.1 | 67 | 2 2 0 |
| 44.3 | 41 | 2 2 4 |
| 55.3 | 39 | 2 2 8 |

***

(11)
For BaPt3, a structure optimized by DFT (GGA-PBE) gives the calculated X-ray powder pattern in this record (Cu Kα, 1.54184 Å).
Intensities are scaled so that the largest is 100.

Cell and atoms:
```
data_BaPt3
_chemical_formula_sum 'Ba2 Pt6'
_cell_length_a 7.982
_cell_length_b 4.610
_cell_length_c 6.134
_cell_angle_alpha 90.00
_cell_angle_beta 116.17
_cell_angle_gamma 90.00
_space_group_name_H-M_alt 'C 1 2/m 1'
_space_group_IT_number 12
loop_
_space_group_symop_operation_xyz
'x,y,z'
'-x,-y,-z'
'-x,y,-z'
'x,-y,z'
'x+1/2,y+1/2,z'
'-x+1/2,-y+1/2,-z'
'-x+1/2,y+1/2,-z'
'x+1/2,-y+1/2,z'
loop_
_atom_site_label
_atom_site_type_symbol
_atom_site_fract_x
_atom_site_fract_y
_atom_site_fract_z
Ba1 Ba 0.000 0.000 0.000
Pt1 Pt 0.000 0.500 0.500
Pt2 Pt 0.183 0.000 0.550
```

Peak list (6 most intense, 10 to 80 degrees two-theta, low angle first)
| 2θ/deg | Rel. int. | index |
| --- | --- | --- |
| 16.1 | 100 | 0 0 1 |
| 32.5 | 41 | 0 0 2 |
| 39.1 | 94 | 0 2 0 |
| 42.5 | 36 | 0 2 1 |
| 51.5 | 23 | 3 1 -3 |
| 51.7 | 23 | 0 2 2 |

***

(12)
For BaPu4Pt4, a structure optimized by DFT (GGA-PBE) gives the calculated X-ray powder pattern in this record (Cu Kα, 1.54184 Å).
Intensities are scaled so that the largest is 100.

Cell and atoms:
```
data_BaPu4Pt4
_chemical_formula_sum 'Ba2 Pu8 Pt8'
_cell_length_a 7.101
_cell_length_b 7.101
_cell_length_c 9.518
_cell_angle_alpha 90.00
_cell_angle_beta 90.00
_cell_angle_gamma 90.00
_space_group_name_H-M_alt 'P 42/n m c'
_space_group_IT_number 137
loop_
_space_group_symop_operation_xyz
'x,y,z'
'-x,-y,-z'
'-y+1/2,x,z+1/2'
'y+1/2,-x,-z+1/2'
'-x+1/2,-y+1/2,z'
'x+1/2,y+1/2,-z'
'y,-x+1/2,z+1/2'
'-y,x+1/2,-z+1/2'
'x+1/2,-y,-z'
'-x+1/2,y,z'
'-y,-x,-z+1/2'
'y,x,z+1/2'
'-x,y+1/2,-z'
'x,-y+1/2,z'
'y+1/2,x+1/2,-z+1/2'
'-y+1/2,-x+1/2,z+1/2'
loop_
_atom_site_label
_atom_site_type_symbol
_atom_site_fract_x
_atom_site_fract_y
_atom_site_fract_z
Ba1 Ba 0.250 0.750 0.250
Pu1 Pu 0.011 0.250 0.109
Pt1 Pt 0.053 0.250 0.407
```

Peak list (6 most intense, 10 to 80 degrees two-theta, low angle first)
| 2θ/deg | Rel. int. | index |
| --- | --- | --- |
| 29.7 | 100 | 2 1 1 |
| 30.9 | 58 | 1 0 3 |
| 35.8 | 64 | 2 2 0 |
| 40.2 | 58 | 2 1 3 |
| 48.0 | 51 | 3 0 3 |
| 53.0 | 43 | 2 2 4 |